Diffraction record for SbP2O7. The X-ray powder pattern is calculated, not measured: it uses a cell relaxed with GGA-PBE and Cu Kα (λ = 1.5418 Å).
Peak positions follow from Bragg's law for the DFT cell and can differ from measured ones.

Principal peaks in the range 10 to 90 degrees two-theta, sorted by position:
- 14.99 deg, I = 100, hkl 0 0 2
- 17.96 deg, I = 62, hkl 0 1 2
- 19.75 deg, I = 93, hkl 0 2 0
- 21.67 deg, I = 58, hkl 1 1 -2
- 27.38 deg, I = 96, hkl 1 2 0
- 27.72 deg, I = 70, hkl 1 2 -2
- 29.16 deg, I = 44, hkl 1 0 -4
- 29.91 deg, I = 58, hkl 1 1 2

Atomic structure:
Cell: 5.0827 8.9900 12.7111 Å, 90.00 111.56 90.00°
Space group P2_1/c (No. 14)
One atom of each set of equivalent atoms:
Sb  0.1009  0.2265  0.2783 x4
P  0.2015  0.7187  0.0225 x4
P  0.3799  0.5399  0.6644 x4
O  0.0522  0.1799  0.4418 x4
O  0.1286  0.6878  0.8976 x4
O  0.2434  0.6287  0.7319 x4
O  0.2538  0.6002  0.5360 x4
O  0.2939  0.0703  0.7949 x4
O  0.3303  0.1275  0.1651 x4
O  0.4749  0.6455  0.1019 x4